The following is a calculated PXRD pattern of BeBiS2. It was derived from a structure optimized by DFT (PBE), using Cu Kα.

Cell and atoms:
abc: 6.070 6.070 9.217
angles: 90.00 90.00 90.00
Fractional positions:
1 Be 0.000 0.000 0.000
2 Be 0.000 0.500 0.250
3 Be 0.500 0.000 0.750
4 Be 0.500 0.500 0.500
5 Bi 0.000 0.000 0.500
6 Bi 0.000 0.500 0.750
7 Bi 0.500 0.000 0.250
8 Bi 0.500 0.500 0.000
9 S 0.147 0.250 0.125
10 S 0.250 0.647 0.375
11 S 0.250 0.853 0.875
12 S 0.353 0.250 0.625
13 S 0.647 0.750 0.625
14 S 0.750 0.147 0.875
15 S 0.750 0.353 0.375
16 S 0.853 0.750 0.125

Principal peaks in the range 15° ≤ 2θ ≤ 90°, in order of rising 2θ:
d_spacing  I_rel  index
5.069  89.5  1 0 1
3.141  100.0  1 1 2
3.035  27.2  2 0 0
2.741  38.0  1 0 3
2.604  68.6  2 1 1
2.146  19.4  2 2 0
2.034  20.3  2 1 3
1.976  16.9  3 0 1
1.835  29.0  2 0 4
1.772  37.4  3 1 2
1.476  14.2  3 2 3
1.152  11.9  0 0 8



The following is a calculated PXRD pattern of SrBeBi. It was derived from a structure optimized by DFT (PBE), using Cu Kα.

Cell and atoms:
abc: 5.877 4.236 7.078
angles: 90.00 103.19 90.00
Fractional positions:
1 Sr 0.191 0.250 0.242
2 Sr 0.809 0.750 0.758
3 Be 0.358 0.750 0.966
4 Be 0.642 0.250 0.034
5 Bi 0.291 0.250 0.747
6 Bi 0.709 0.750 0.253

Principal peaks in the range 15° ≤ 2θ ≤ 90°, in order of rising 2θ:
d_spacing  I_rel  index
4.998  22.7  1 0 -1
3.609  19.9  0 1 1
3.446  55.8  0 0 2
3.405  100.0  1 1 0
2.861  25.3  2 0 0
2.605  52.9  1 1 -2
2.499  17.8  2 0 -2
2.273  36.3  1 1 2
2.119  22.1  0 2 0
1.804  18.5  0 2 2
1.702  17.5  2 2 0
1.629  12.7  1 1 -4



The following is a calculated PXRD pattern of TaBeBi2. It was derived from a structure optimized by DFT (PBE), using Cu Kα.

Cell and atoms:
abc: 6.323 6.323 11.908
angles: 90.00 90.00 90.00
Fractional positions:
1 Ta 0.000 0.000 0.000
2 Ta 0.000 0.500 0.250
3 Ta 0.500 0.000 0.750
4 Ta 0.500 0.500 0.500
5 Be 0.000 0.000 0.500
6 Be 0.000 0.500 0.750
7 Be 0.500 0.000 0.250
8 Be 0.500 0.500 0.000
9 Bi 0.217 0.250 0.625
10 Bi 0.250 0.717 0.875
11 Bi 0.250 0.783 0.375
12 Bi 0.283 0.250 0.125
13 Bi 0.717 0.750 0.125
14 Bi 0.750 0.217 0.375
15 Bi 0.750 0.283 0.875
16 Bi 0.783 0.750 0.625

Principal peaks in the range 15° ≤ 2θ ≤ 90°, in order of rising 2θ:
d_spacing  I_rel  index
5.585  8.9  1 0 1
3.575  100.0  1 1 2
3.362  11.7  1 0 3
3.162  8.2  2 0 0
2.751  17.6  2 1 1
2.236  23.1  2 2 0
2.167  45.0  2 0 4
1.896  30.7  3 1 2
1.814  15.5  1 1 6
1.409  11.9  3 1 6
1.277  13.3  4 2 4
1.239  7.6  2 2 8



The following is a calculated PXRD pattern of YBeBi. It was derived from a structure optimized by DFT (PBE), using Cu Kα.

Cell and atoms:
abc: 4.618 15.515 4.220
angles: 90.00 90.00 90.00
Fractional positions:
1 Y 0.000 0.088 0.250
2 Y 0.000 0.912 0.750
3 Y 0.500 0.412 0.750
4 Y 0.500 0.588 0.250
5 Be 0.000 0.478 0.250
6 Be 0.000 0.522 0.750
7 Be 0.500 0.022 0.750
8 Be 0.500 0.978 0.250
9 Bi 0.000 0.255 0.750
10 Bi 0.000 0.745 0.250
11 Bi 0.500 0.245 0.250
12 Bi 0.500 0.755 0.750

Principal peaks in the range 15° ≤ 2θ ≤ 90°, in order of rising 2θ:
d_spacing  I_rel  index
3.879  17.3  0 4 0
3.707  11.6  0 2 1
3.054  39.5  1 1 1
2.668  100.0  1 3 1
2.586  21.3  0 6 0
2.309  17.2  2 0 0
2.198  18.5  1 5 1
2.110  13.2  0 0 2
1.722  12.8  2 6 0
1.634  14.5  0 6 2
1.508  15.6  1 9 1
1.393  13.6  3 3 1